MnRu3: computed powder XRD pattern (Cu Kα (λ = 1.5418 Å)), based on a GGA-PBE-relaxed structure.
Kinematic intensities with the Lorentz-polarization factor, no thermal factor.

Crystal structure
Cell: 5.3860 5.3860 4.2455 Å, 90.00 90.00 120.00°
Space group P6_3/mmc (No. 194)
One atom of each set of equivalent atoms:
Mn: 0.3333 0.6667 0.2500 [2 per cell]
Ru: 0.1698 0.3395 0.7500 [6 per cell]

Peak list (8 most intense, 10° ≤ 2θ ≤ 80°, in order of rising 2θ)
(1 0 1), d 3.140, 28.43 deg, intensity 68
(1 1 0), d 2.693, 33.27 deg, intensity 24
(2 0 0), d 2.332, 38.60 deg, intensity 249
(0 0 2), d 2.123, 42.59 deg, intensity 250
(2 0 1), d 2.044, 44.31 deg, intensity 1000
(2 0 2), d 1.570, 58.82 deg, intensity 140
(2 2 0), d 1.347, 69.85 deg, intensity 163
(2 0 3), d 1.210, 79.17 deg, intensity 172